The following is a simulated X-ray diffraction stick pattern of Nd3CuPt8. It was derived from the PBE geometry in Alexandria, using Cu Kα, 1.54184 Å.

Largest 10 diffraction maxima, low angle first, 10° ≤ 2θ ≤ 90°:
| 2θ/deg | I/Imax |
| --- | --- |
| 19.9 | 26 |
| 32.8 | 15 |
| 38.6 | 100 |
| 40.4 | 58 |
| 47.0 | 15 |
| 51.6 | 8 |
| 62.4 | 29 |
| 68.7 | 29 |
| 81.7 | 9 |
| 82.8 | 17 |

Cell lengths 9.4561, 9.4561, 9.4561 Å; angles 33.61, 33.61, 33.61 degrees
Atoms (fractional coordinates):
1 Nd 0.0000 0.0000 0.0000
2 Nd 0.1301 0.1301 0.1301
3 Nd 0.6097 0.6097 0.6097
4 Cu 0.4823 0.4823 0.4823
5 Pt 0.0592 0.0592 0.5632
6 Pt 0.0592 0.5632 0.0592
7 Pt 0.0616 0.5605 0.5605
8 Pt 0.3105 0.3105 0.3105
9 Pt 0.5605 0.0616 0.5605
10 Pt 0.5605 0.5605 0.0616
11 Pt 0.5632 0.0592 0.0592
12 Pt 0.8112 0.8112 0.8112

---

The following is a simulated X-ray diffraction stick pattern of Pu2NpF8. It was derived from the PBE geometry in Alexandria, using Cu Kα, 1.54184 Å.

Largest 10 diffraction maxima, low angle first, 10° ≤ 2θ ≤ 90°:
| 2θ/deg | I/Imax |
| --- | --- |
| 24.5 | 67 |
| 25.6 | 59 |
| 26.9 | 100 |
| 29.8 | 74 |
| 30.8 | 33 |
| 42.6 | 42 |
| 44.1 | 38 |
| 44.9 | 22 |
| 48.3 | 23 |
| 52.4 | 27 |

Cell lengths 7.4982, 7.4982, 5.8108 Å; angles 110.23, 110.23, 31.23 degrees
Atoms (fractional coordinates):
1 Pu 0.1780 0.1780 0.1800
2 Pu 0.8220 0.8220 0.8200
3 Np 0.5000 0.5000 0.5000
4 F 0.0286 0.0286 0.2993
5 F 0.2099 0.2099 0.8048
6 F 0.3350 0.3350 0.5461
7 F 0.4042 0.4042 0.0662
8 F 0.5958 0.5958 0.9338
9 F 0.6650 0.6650 0.4539
10 F 0.7901 0.7901 0.1952
11 F 0.9714 0.9714 0.7007

---

The following is a simulated X-ray diffraction stick pattern of Rb5Zn2S5. It was derived from the PBE geometry in Alexandria, using Cu Kα, 1.54184 Å.

Largest 10 diffraction maxima, low angle first, 10° ≤ 2θ ≤ 90°:
| 2θ/deg | I/Imax |
| --- | --- |
| 23.2 | 11 |
| 28.5 | 100 |
| 30.3 | 17 |
| 30.8 | 37 |
| 31.8 | 37 |
| 34.0 | 24 |
| 45.0 | 18 |
| 47.5 | 11 |
| 51.0 | 16 |
| 56.2 | 14 |

Cell lengths 8.0206, 8.0206, 11.4251 Å; angles 100.61, 100.61, 29.08 degrees
Atoms (fractional coordinates):
1 Rb 0.0000 0.0000 0.0000
2 Rb 0.1540 0.1540 0.5885
3 Rb 0.2847 0.2847 0.8717
4 Rb 0.7153 0.7153 0.1283
5 Rb 0.8460 0.8460 0.4115
6 Zn 0.4717 0.4717 0.7004
7 Zn 0.5283 0.5283 0.2996
8 S 0.1152 0.1152 0.2846
9 S 0.3914 0.3914 0.1622
10 S 0.5000 0.5000 0.5000
11 S 0.6086 0.6086 0.8378
12 S 0.8848 0.8848 0.7154

---

The following is a simulated X-ray diffraction stick pattern of NaGe2TeS6. It was derived from the PBE geometry in Alexandria, using Cu Kα, 1.54184 Å.

Largest 10 diffraction maxima, low angle first, 10° ≤ 2θ ≤ 90°:
| 2θ/deg | I/Imax |
| --- | --- |
| 15.4 | 43 |
| 20.6 | 39 |
| 21.2 | 64 |
| 22.8 | 68 |
| 23.2 | 60 |
| 27.0 | 100 |
| 27.3 | 38 |
| 29.6 | 38 |
| 34.3 | 41 |
| 49.0 | 54 |

Cell lengths 8.6294, 8.6294, 6.8897 Å; angles 102.52, 102.52, 82.49 degrees
Atoms (fractional coordinates):
1 Na 0.1003 0.8997 0.7500
2 Na 0.8997 0.1003 0.2500
3 Ge 0.2125 0.3837 0.7572
4 Ge 0.3837 0.2125 0.2572
5 Ge 0.6163 0.7875 0.7428
6 Ge 0.7875 0.6163 0.2428
7 Te 0.2696 0.7304 0.2500
8 Te 0.7304 0.2696 0.7500
9 S 0.0176 0.2138 0.6614
10 S 0.1044 0.6200 0.8874
11 S 0.2138 0.0176 0.1614
12 S 0.2968 0.4313 0.4768
13 S 0.3800 0.8956 0.6126
14 S 0.4313 0.2968 0.9768
15 S 0.5687 0.7032 0.0232
16 S 0.6200 0.1044 0.3874
17 S 0.7032 0.5687 0.5232
18 S 0.7862 0.9824 0.8386
19 S 0.8956 0.3800 0.1126
20 S 0.9824 0.7862 0.3386

---

The following is a simulated X-ray diffraction stick pattern of Nd4Co2Hg. It was derived from the PBE geometry in Alexandria, using Cu Kα, 1.54184 Å.

Largest 10 diffraction maxima, low angle first, 10° ≤ 2θ ≤ 90°:
| 2θ/deg | I/Imax |
| --- | --- |
| 18.6 | 38 |
| 25.0 | 51 |
| 27.5 | 84 |
| 33.4 | 100 |
| 33.8 | 79 |
| 34.8 | 85 |
| 37.8 | 48 |
| 44.2 | 41 |
| 45.0 | 34 |
| 47.6 | 43 |

Cell lengths 5.7319, 5.7319, 19.0547 Å; angles 90.00, 90.00, 138.83 degrees
Atoms (fractional coordinates):
1 Nd 0.0000 0.0000 0.0000
2 Nd 0.0000 0.0000 0.5000
3 Nd 0.2855 0.7145 0.6257
4 Nd 0.2855 0.7145 0.8743
5 Nd 0.4164 0.5836 0.2500
6 Nd 0.5836 0.4164 0.7500
7 Nd 0.7145 0.2855 0.1257
8 Nd 0.7145 0.2855 0.3743
9 Co 0.2828 0.7172 0.0185
10 Co 0.2828 0.7172 0.4815
11 Co 0.7172 0.2828 0.5185
12 Co 0.7172 0.2828 0.9815
13 Hg 0.1291 0.8709 0.2500
14 Hg 0.8709 0.1291 0.7500